1.
# Nd3Th5P8
Computed powder diffraction line list, CuKα. Input: a DFT-relaxed cell (GGA-PBE, Alexandria).

Peak list (12 most intense, 10° ≤ 2θ ≤ 80°, sorted by position)
two_theta	Rel. int.
13.07	5
25.15	3
26.30	99
30.46	100
33.27	2
43.61	75
45.71	2
51.64	50
54.12	27
63.38	12
69.84	21
71.93	35

a b c (Å): 8.298 8.298 8.298
angles (deg): 60.06 60.06 60.06
Positions (direct):
Nd (0.000, 0.500, 0.500)
Nd (0.500, 0.000, 0.500)
Nd (0.500, 0.500, 0.000)
Th (0.000, 0.000, 0.000)
Th (0.000, 0.000, 0.500)
Th (0.000, 0.500, 0.000)
Th (0.500, 0.000, 0.000)
Th (0.500, 0.500, 0.500)
P (0.247, 0.750, 0.750)
P (0.248, 0.248, 0.248)
P (0.250, 0.250, 0.753)
P (0.250, 0.753, 0.250)
P (0.750, 0.247, 0.750)
P (0.750, 0.750, 0.247)
P (0.752, 0.752, 0.752)
P (0.753, 0.250, 0.250)



2.
# Nd2Sm
Computed powder diffraction line list, CuKα. Input: a DFT-relaxed cell (GGA-PBE, Alexandria).

Peak list (6 most intense, 10° ≤ 2θ ≤ 80°, sorted by position)
two_theta	Rel. int.
29.85	100
34.60	51
49.74	36
59.10	43
62.01	12
73.00	6

a b c (Å): 8.199 8.199 8.199
angles (deg): 154.17 154.17 36.86
Positions (direct):
Nd (0.166, 0.166, 0.000)
Nd (0.834, 0.834, 0.000)
Sm (0.500, 0.500, 0.000)



Repeat the first record exactly.
# Nd3Th5P8
Computed powder diffraction line list, CuKα. Input: a DFT-relaxed cell (GGA-PBE, Alexandria).

Peak list (12 most intense, 10° ≤ 2θ ≤ 80°, sorted by position)
two_theta	Rel. int.
13.07	5
25.15	3
26.30	99
30.46	100
33.27	2
43.61	75
45.71	2
51.64	50
54.12	27
63.38	12
69.84	21
71.93	35

a b c (Å): 8.298 8.298 8.298
angles (deg): 60.06 60.06 60.06
Positions (direct):
Nd (0.000, 0.500, 0.500)
Nd (0.500, 0.000, 0.500)
Nd (0.500, 0.500, 0.000)
Th (0.000, 0.000, 0.000)
Th (0.000, 0.000, 0.500)
Th (0.000, 0.500, 0.000)
Th (0.500, 0.000, 0.000)
Th (0.500, 0.500, 0.500)
P (0.247, 0.750, 0.750)
P (0.248, 0.248, 0.248)
P (0.250, 0.250, 0.753)
P (0.250, 0.753, 0.250)
P (0.750, 0.247, 0.750)
P (0.750, 0.750, 0.247)
P (0.752, 0.752, 0.752)
P (0.753, 0.250, 0.250)